Sb2P3H3O9: simulated powder X-ray diffraction pattern (Cu Ka), based on a structure optimized by DFT (GGA-PBE).

Most intense lines, 2θ = 5–70°, by angle:
| two_theta | Rel. int. |
| --- | --- |
| 10.27 | 93 |
| 13.94 | 46 |
| 16.40 | 43 |
| 23.90 | 100 |
| 25.57 | 79 |
| 27.37 | 65 |

Atomic structure:
```
data_Sb2P3H3O9
_symmetry_space_group_name_H-M 'P -1'
_symmetry_Int_Tables_number 2
_symmetry_space_group_name_Hall '-P 1'
_cell_length_a 7.5980
_cell_length_b 8.5971
_cell_length_c 9.3274
_cell_angle_alpha 67.49
_cell_angle_beta 80.92
_cell_angle_gamma 67.21
loop_
_atom_site_label
_atom_site_fract_x
_atom_site_fract_y
_atom_site_fract_z
Sb1 0.0056 0.0044 0.2694
Sb2 0.3259 0.3476 0.4088
P1 0.2272 0.7197 0.0589
P2 0.2420 0.6169 0.6325
P3 0.4445 0.0034 0.2663
H1 0.1688 0.5174 0.7689
H2 0.4188 0.6640 0.0098
H3 0.4969 0.9917 0.8857
O1 0.1053 0.7666 0.9171
O2 0.1262 0.8200 0.5934
O3 0.1914 0.5607 0.1904
O4 0.1920 0.8873 0.0985
O5 0.2180 0.5665 0.4973
O6 0.2205 0.0895 0.2647
O7 0.4526 0.5634 0.6745
O8 0.4788 0.8763 0.6959
O9 0.4846 0.1961 0.6293
```